# LiMn7O3F9
Simulated powder diffraction line list, CuKα. Input: a GGA+U-relaxed structure.
Intensities are scaled so that the largest is 1000.

Structure:
```
data_LiMn7O3F9
_chemical_formula_sum 'Li1 Mn7 O3 F9'
_space_group_name_H-M_alt 'P 1'
_space_group_IT_number 1
_space_group_name_Hall 'P 1'
_cell_length_a 6.3539
_cell_length_b 6.4127
_cell_length_c 6.4410
_cell_angle_alpha 89.90
_cell_angle_beta 89.62
_cell_angle_gamma 89.86
loop_
_atom_site_label
_atom_site_type_symbol
_atom_site_fract_x
_atom_site_fract_y
_atom_site_fract_z
Li1 Li 0.0000 0.0000 0.0000
Mn1 Mn 0.0581 0.2755 0.4371
Mn2 Mn 0.2315 0.5439 0.9045
Mn3 Mn 0.4476 0.9361 0.2429
Mn4 Mn 0.4767 0.5377 0.5186
Mn5 Mn 0.5513 0.0740 0.7335
Mn6 Mn 0.7270 0.4345 0.0366
Mn7 Mn 0.9227 0.7703 0.5481
O1 O 0.1494 0.5499 0.5873
O2 O 0.5168 0.3870 0.8058
O3 O 0.6046 0.8401 0.5183
F1 F 0.0564 0.3148 0.0805
F2 F 0.0881 0.9500 0.3066
F3 F 0.3082 0.9169 0.9249
F4 F 0.3924 0.2139 0.4151
F5 F 0.4339 0.6047 0.1740
F6 F 0.6925 0.0762 0.0616
F7 F 0.7770 0.4437 0.3661
F8 F 0.9130 0.6979 0.9362
F9 F 0.9324 0.0881 0.6898
```

The 10 most intense peaks (5° ≤ 2θ ≤ 70°), by angle:
| two_theta | I_rel | h k l |
| --- | --- | --- |
| 24.02 | 367 | 1 1 1 |
| 24.13 | 666 | 1 1 -1 |
| 31.09 | 1000 | 0 1 -2 |
| 31.24 | 422 | 1 2 0 |
| 31.47 | 543 | 2 0 -1 |
| 34.25 | 209 | 1 -2 1 |
| 44.50 | 371 | 0 1 -3 |
| 44.68 | 319 | 1 3 0 |
| 45.14 | 280 | 3 0 -1 |
| 53.64 | 509 | 3 -1 2 |